Computed powder diffractogram
Compound: Ce7Ga3Ru2
Radiation: copper Kα
Structure: a crystal structure in Alexandria, relaxed with GGA-PBE
Peak positions follow from Bragg's law for the DFT cell and can differ from measured ones.

The 12 most intense peaks (15° ≤ 2θ ≤ 90°), by intensity:
hkl  2θ/deg  I (rel.)
1 5 1  30.47  100.0
2 0 0  35.22  45.7
0 0 2  35.46  44.6
2 0 2  50.86  43.3
0 8 1  33.29  31.1
0 0 1  17.52  21.8
2 8 1  49.25  20.5
1 1 0  17.75  17.2
0 10 0  35.31  16.5
3 5 1  60.28  14.2
1 5 3  60.60  14.0
1 7 0  30.22  13.0

Structural model:
a = 5.0962 Å, b = 25.4165 Å, c = 5.0627 Å
α = 90.00°, β = 90.00°, γ = 90.00°
Space group Cmmm (No. 65)
Inequivalent atoms, fractional coordinates:
Ce 0.0000 0.0000 0.0000 [2 per cell]
Ce 0.0000 0.0876 0.5000 [4 per cell]
Ce 0.0000 0.2223 0.0000 [4 per cell]
Ce 0.0000 0.3800 0.0000 [4 per cell]
Ga 0.0000 0.3052 0.5000 [4 per cell]
Ga 0.0000 0.5000 0.5000 [2 per cell]
Ru 0.0000 0.1102 0.0000 [4 per cell]